Diffraction record for Sr2PmTe3. The powder diffractogram is calculated, not measured: it uses a PBE-relaxed structure and λ = 1.5418 Å (Cu Kα).
Neutral-atom scattering factors, no anomalous dispersion.

```
Sr2PmTe3
1.0
4.0020 -6.9281 0.0000
4.0020 6.9281 0.0000
-2.6670 0.0000 7.6128
Sr Pm Te
4 2 6
Cartesian
0.0000 0.0000 0.0000
2.6685 4.6548 3.8064
2.6685 0.0000 3.8064
2.6685 -4.6548 3.8064
4.0020 2.3143 0.0000
4.0020 -2.3143 0.0000
1.3658 2.3598 1.8401
0.0598 0.0000 5.7900
1.3658 -2.3598 1.8401
3.9712 2.3598 5.7727
5.2771 0.0000 1.8228
3.9712 -2.3598 5.7727
```

Main lines, low angle first (2θ = 10–90°):
| 2theta | I/Imax |
| --- | --- |
| 27.2 | 100 |
| 38.7 | 38 |
| 39.0 | 38 |
| 47.8 | 7 |
| 48.2 | 21 |
| 56.1 | 13 |
| 63.3 | 12 |
| 63.7 | 18 |
| 70.5 | 13 |
| 89.8 | 7 |